Diffraction record for Ti3P6WO24. The powder X-ray diffraction pattern is calculated, not measured: it uses a structure optimized by DFT (PBE+U) and a wavelength of 1.5418 Å.
Neutral-atom scattering factors, no anomalous dispersion.

Atomic structure:
Unit cell a=8.855 b=8.855 c=8.855 alpha=58.50 beta=58.50 gamma=58.50
Sites, in units of the cell vectors:
Ti 0.000 0.000 0.000
Ti 0.219 0.219 0.219
Ti 0.500 0.500 0.500
P 0.115 0.827 0.388
P 0.321 0.608 0.894
P 0.388 0.115 0.827
P 0.608 0.894 0.321
P 0.827 0.388 0.115
P 0.894 0.321 0.608
W 0.718 0.718 0.718
O 0.073 0.301 0.435
O 0.077 0.855 0.224
O 0.135 0.998 0.367
O 0.147 0.783 0.921
O 0.224 0.077 0.855
O 0.280 0.645 0.425
O 0.301 0.435 0.073
O 0.357 0.579 0.722
O 0.367 0.135 0.998
O 0.425 0.280 0.645
O 0.435 0.073 0.301
O 0.498 0.641 0.859
O 0.572 0.935 0.795
O 0.579 0.722 0.357
O 0.641 0.859 0.498
O 0.645 0.425 0.280
O 0.722 0.357 0.579
O 0.783 0.921 0.147
O 0.795 0.572 0.935
O 0.855 0.224 0.077
O 0.859 0.498 0.641
O 0.921 0.147 0.783
O 0.935 0.795 0.572
O 0.998 0.367 0.135

Top 8 peaks for 5° ≤ 2θ ≤ 70°, in order of rising 2θ:
two_theta  d (Å)  I/Imax
12.48  7.091  41.4
14.32  6.187  74.7
20.07  4.425  93.1
20.53  4.326  56.6
23.90  3.723  100.0
28.86  3.093  61.4
32.06  2.792  43.8
52.81  1.733  25.8

=====

Diffraction record for TiP3WO12. The powder X-ray diffraction pattern is calculated, not measured: it uses a structure optimized by DFT (PBE+U) and a wavelength of 1.5418 Å.
Neutral-atom scattering factors, no anomalous dispersion.

Atomic structure:
Unit cell a=8.852 b=8.852 c=8.852 alpha=59.06 beta=59.06 gamma=59.06
Sites, in units of the cell vectors:
Ti 0.000 0.000 0.000
Ti 0.500 0.500 0.500
P 0.112 0.392 0.824
P 0.324 0.892 0.612
P 0.392 0.824 0.112
P 0.612 0.324 0.892
P 0.824 0.112 0.392
P 0.892 0.612 0.324
W 0.219 0.219 0.219
W 0.719 0.719 0.719
O 0.074 0.440 0.301
O 0.075 0.224 0.861
O 0.142 0.370 0.994
O 0.148 0.923 0.782
O 0.224 0.861 0.075
O 0.282 0.423 0.648
O 0.301 0.074 0.440
O 0.361 0.724 0.575
O 0.370 0.994 0.142
O 0.423 0.648 0.282
O 0.440 0.301 0.074
O 0.494 0.870 0.642
O 0.574 0.801 0.940
O 0.575 0.361 0.724
O 0.642 0.494 0.870
O 0.648 0.282 0.423
O 0.724 0.575 0.361
O 0.782 0.148 0.923
O 0.801 0.940 0.574
O 0.861 0.075 0.224
O 0.870 0.642 0.494
O 0.923 0.782 0.148
O 0.940 0.574 0.801
O 0.994 0.142 0.370

Top 8 peaks for 5° ≤ 2θ ≤ 70°, in order of rising 2θ:
two_theta  d (Å)  I/Imax
14.25  6.214  99.4
20.07  4.425  100.0
20.35  4.363  70.7
23.78  3.742  45.5
28.73  3.107  58.8
32.03  2.795  49.3
35.47  2.531  32.8
35.64  2.519  24.8

=====

Diffraction record for TiZnP3WO12. The powder X-ray diffraction pattern is calculated, not measured: it uses a structure optimized by DFT (PBE+U) and a wavelength of 1.5418 Å.
Neutral-atom scattering factors, no anomalous dispersion.

Atomic structure:
Unit cell a=8.702 b=8.702 c=8.702 alpha=60.48 beta=60.48 gamma=60.48
Sites, in units of the cell vectors:
Ti 0.000 0.000 0.000
Ti 0.500 0.500 0.500
Zn 0.355 0.355 0.355
Zn 0.855 0.855 0.855
P 0.113 0.395 0.802
P 0.302 0.895 0.613
P 0.395 0.802 0.113
P 0.613 0.302 0.895
P 0.802 0.113 0.395
P 0.895 0.613 0.302
W 0.211 0.211 0.211
W 0.711 0.711 0.711
O 0.047 0.231 0.855
O 0.089 0.456 0.286
O 0.107 0.905 0.771
O 0.184 0.356 0.947
O 0.231 0.855 0.047
O 0.271 0.405 0.607
O 0.286 0.089 0.456
O 0.355 0.731 0.547
O 0.356 0.947 0.184
O 0.405 0.607 0.271
O 0.447 0.856 0.684
O 0.456 0.286 0.089
O 0.547 0.355 0.731
O 0.589 0.786 0.956
O 0.607 0.271 0.405
O 0.684 0.447 0.856
O 0.731 0.547 0.355
O 0.771 0.107 0.905
O 0.786 0.956 0.589
O 0.855 0.047 0.231
O 0.856 0.684 0.447
O 0.905 0.771 0.107
O 0.947 0.184 0.356
O 0.956 0.589 0.786

Top 8 peaks for 5° ≤ 2θ ≤ 70°, in order of rising 2θ:
two_theta  d (Å)  I/Imax
14.34  6.175  42.7
20.26  4.383  100.0
20.41  4.351  31.3
23.88  3.726  35.9
32.52  2.754  68.6
35.50  2.528  51.7
46.61  1.948  27.0
55.49  1.656  27.3